[1]
Diffraction record for AlSiNi2. The X-ray diffraction stick pattern is simulated, not measured: it uses a DFT-relaxed cell (GGA-PBE, the Materials Project) and Cu Kα.

Largest 8 diffraction maxima, in order of rising 2θ, 10 to 90 degrees two-theta:
| index | 2θ (°) | I (rel.) |
| --- | --- | --- |
| 0 1 1 | 27.66 | 45.2 |
| 1 1 -1 | 33.71 | 27.6 |
| 2 0 -1 | 44.08 | 51.8 |
| 1 2 0 | 44.32 | 100.0 |
| 0 1 2 | 44.43 | 88.3 |
| 2 0 1 | 45.32 | 39.3 |
| 1 2 -1 | 48.56 | 44.0 |
| 2 1 1 | 49.73 | 26.9 |

```
data_AlSiNi2
_space_group_name_H-M_alt 'P 1 21 1'
_space_group_IT_number 4
_space_group_name_Hall 'P 2yb'
_cell_length_a 4.5301
_cell_length_b 4.5797
_cell_length_c 4.5568
_cell_angle_alpha 90.00
_cell_angle_beta 91.90
_cell_angle_gamma 90.00
loop_
_atom_site_label
_atom_site_type_symbol
_atom_site_fract_x
_atom_site_fract_y
_atom_site_fract_z
Al1 Al 0.0951 0.0000 0.1525
Si1 Si 0.3993 0.1945 0.6581
Ni1 Ni 0.1119 0.4989 0.3598
Ni2 Ni 0.4034 0.7061 0.8430
```



[2]
Diffraction record for SmAl2Ni. The X-ray diffraction stick pattern is simulated, not measured: it uses a DFT-relaxed cell (GGA-PBE, the Materials Project) and Cu Kα.

Largest 8 diffraction maxima, in order of rising 2θ, 10 to 90 degrees two-theta:
| index | 2θ (°) | I (rel.) |
| --- | --- | --- |
| 1 1 0 | 23.28 | 70.9 |
| 0 0 2 | 25.74 | 52.5 |
| 1 1 2 | 34.98 | 96.2 |
| 1 3 1 | 35.77 | 100.0 |
| 0 4 1 | 35.88 | 66.7 |
| 2 0 0 | 44.30 | 29.1 |
| 1 3 3 | 52.22 | 45.4 |
| 2 4 1 | 58.27 | 32.1 |

```
data_SmAl2Ni
_space_group_name_H-M_alt 'C m c m'
_space_group_IT_number 63
_space_group_name_Hall '-C 2c 2'
_cell_length_a 4.0890
_cell_length_b 10.7386
_cell_length_c 6.9226
_cell_angle_alpha 90.00
_cell_angle_beta 90.00
_cell_angle_gamma 90.00
loop_
_atom_site_label
_atom_site_type_symbol
_atom_site_fract_x
_atom_site_fract_y
_atom_site_fract_z
Sm1 Sm 0.0000 0.0565 0.2500
Al1 Al 0.0000 0.3340 0.0562
Ni1 Ni 0.0000 0.2162 0.7500
```



[3]
Diffraction record for Sm4Al23Ni6. The X-ray diffraction stick pattern is simulated, not measured: it uses a DFT-relaxed cell (GGA-PBE, the Materials Project) and Cu Kα.

Largest 8 diffraction maxima, in order of rising 2θ, 10 to 90 degrees two-theta:
| index | 2θ (°) | I (rel.) |
| --- | --- | --- |
| 1 1 -1 | 22.53 | 68.5 |
| 3 1 1 | 30.19 | 75.1 |
| 5 1 -2 | 35.67 | 97.5 |
| 6 0 -5 | 35.91 | 55.5 |
| 1 1 5 | 36.79 | 77.0 |
| 1 1 -6 | 37.21 | 88.6 |
| 5 1 1 | 39.82 | 69.1 |
| 0 2 0 | 44.08 | 100.0 |

```
data_Sm4Al23Ni6
_space_group_name_H-M_alt 'C 1 2/m 1'
_space_group_IT_number 12
_space_group_name_Hall '-C 2y'
_cell_length_a 15.9417
_cell_length_b 4.1081
_cell_length_c 18.3363
_cell_angle_alpha 90.00
_cell_angle_beta 113.09
_cell_angle_gamma 90.00
loop_
_atom_site_label
_atom_site_type_symbol
_atom_site_fract_x
_atom_site_fract_y
_atom_site_fract_z
Sm1 Sm 0.0710 0.0000 0.4068
Sm2 Sm 0.2352 0.0000 0.7817
Al1 Al 0.0000 0.5000 0.5000
Al2 Al 0.0322 0.0000 0.7822
Al3 Al 0.0675 0.0000 0.9401
Al4 Al 0.0816 0.5000 0.6865
Al5 Al 0.0899 0.5000 0.0497
Al6 Al 0.0902 0.5000 0.2797
Al7 Al 0.1090 0.0000 0.1615
Al8 Al 0.1234 0.0000 0.5952
Al9 Al 0.1442 0.5000 0.8577
Al10 Al 0.2023 0.5000 0.5208
Al11 Al 0.2241 0.0000 0.3243
Al12 Al 0.2447 0.0000 0.9541
Ni1 Ni 0.0077 0.5000 0.1356
Ni2 Ni 0.1896 0.0000 0.0672
Ni3 Ni 0.2270 0.5000 0.3983
```



[4]
Diffraction record for Sm3Al2Ni6. The X-ray diffraction stick pattern is simulated, not measured: it uses a DFT-relaxed cell (GGA-PBE, the Materials Project) and Cu Kα.

Largest 8 diffraction maxima, in order of rising 2θ, 10 to 90 degrees two-theta:
| index | 2θ (°) | I (rel.) |
| --- | --- | --- |
| 2 1 1 | 24.20 | 17.9 |
| 3 1 0 | 31.40 | 36.9 |
| 2 2 2 | 34.48 | 24.6 |
| 3 2 1 | 37.34 | 25.2 |
| 4 0 0 | 40.03 | 18.3 |
| 3 3 0 | 42.57 | 100.0 |
| 5 3 2 | 63.66 | 16.9 |
| 6 3 3 | 77.91 | 26.4 |

```
data_Sm3Al2Ni6
_space_group_name_H-M_alt 'I m -3 m'
_space_group_IT_number 229
_space_group_name_Hall '-I 4 2 3'
_cell_length_a 9.0104
_cell_length_b 9.0104
_cell_length_c 9.0104
_cell_angle_alpha 90.00
_cell_angle_beta 90.00
_cell_angle_gamma 90.00
loop_
_atom_site_label
_atom_site_type_symbol
_atom_site_fract_x
_atom_site_fract_y
_atom_site_fract_z
Sm1 Sm 0.0000 0.0000 0.2921
Al1 Al 0.2500 0.2500 0.2500
Ni1 Ni 0.0000 0.3339 0.3339
```



[5]
Diffraction record for SmAl3Ni. The X-ray diffraction stick pattern is simulated, not measured: it uses a DFT-relaxed cell (GGA-PBE, the Materials Project) and Cu Kα.

Largest 8 diffraction maxima, in order of rising 2θ, 10 to 90 degrees two-theta:
| index | 2θ (°) | I (rel.) |
| --- | --- | --- |
| 0 0 2 | 16.51 | 37.6 |
| 1 1 1 | 25.73 | 55.7 |
| 2 1 0 | 30.94 | 34.4 |
| 3 0 1 | 33.96 | 30.3 |
| 1 1 3 | 35.07 | 100.0 |
| 2 1 2 | 35.26 | 64.3 |
| 0 2 0 | 44.29 | 34.4 |
| 4 1 2 | 52.91 | 26.3 |

```
data_SmAl3Ni
_space_group_name_H-M_alt 'P n m a'
_space_group_IT_number 62
_space_group_name_Hall '-P 2ac 2n'
_cell_length_a 8.1689
_cell_length_b 4.0913
_cell_length_c 10.7411
_cell_angle_alpha 90.00
_cell_angle_beta 90.00
_cell_angle_gamma 90.00
loop_
_atom_site_label
_atom_site_type_symbol
_atom_site_fract_x
_atom_site_fract_y
_atom_site_fract_z
Sm1 Sm 0.1853 0.2500 0.0093
Al1 Al 0.0538 0.2500 0.5833
Al2 Al 0.1149 0.7500 0.7850
Al3 Al 0.1433 0.7500 0.2228
Ni1 Ni 0.1050 0.2500 0.3561
```



[6]
Diffraction record for SmAlNi. The X-ray diffraction stick pattern is simulated, not measured: it uses a DFT-relaxed cell (GGA-PBE, the Materials Project) and Cu Kα.

Largest 8 diffraction maxima, in order of rising 2θ, 10 to 90 degrees two-theta:
| index | 2θ (°) | I (rel.) |
| --- | --- | --- |
| 2 1 1 | 28.21 | 35.8 |
| 0 2 0 | 32.73 | 38.6 |
| 0 1 3 | 33.08 | 57.0 |
| 3 1 1 | 36.93 | 96.7 |
| 3 0 2 | 37.04 | 36.5 |
| 2 2 0 | 39.13 | 39.4 |
| 2 1 3 | 39.43 | 100.0 |
| 1 2 2 | 39.61 | 54.0 |

```
data_SmAlNi
_space_group_name_H-M_alt 'A m m 2'
_space_group_IT_number 38
_space_group_name_Hall 'A 2 -2'
_cell_length_a 8.5198
_cell_length_b 5.4716
_cell_length_c 9.3501
_cell_angle_alpha 90.00
_cell_angle_beta 90.00
_cell_angle_gamma 90.00
loop_
_atom_site_label
_atom_site_type_symbol
_atom_site_fract_x
_atom_site_fract_y
_atom_site_fract_z
Sm1 Sm 0.1765 0.0000 0.0000
Sm2 Sm 0.2925 0.0000 0.3374
Al1 Al 0.2402 0.0000 0.6732
Al2 Al 0.5000 0.2473 0.0848
Ni1 Ni 0.0000 0.0000 0.5085
Ni2 Ni 0.0000 0.2481 0.7535
Ni3 Ni 0.5000 0.0000 0.8379
```



[7]
Diffraction record for Sm3AlNi8. The X-ray diffraction stick pattern is simulated, not measured: it uses a DFT-relaxed cell (GGA-PBE, the Materials Project) and Cu Kα.

Largest 8 diffraction maxima, in order of rising 2θ, 10 to 90 degrees two-theta:
| index | 2θ (°) | I (rel.) |
| --- | --- | --- |
| 1 0 5 | 34.22 | 97.2 |
| 1 1 0 | 35.06 | 53.1 |
| 2 0 1 | 41.10 | 52.1 |
| 1 1 4 | 41.71 | 100.0 |
| 2 0 3 | 44.15 | 22.4 |
| 2 1 5 | 62.35 | 34.2 |
| 3 0 4 | 67.44 | 22.9 |
| 2 2 0 | 74.08 | 24.5 |

```
data_Sm3AlNi8
_space_group_name_H-M_alt 'P 63/m m c'
_space_group_IT_number 194
_space_group_name_Hall '-P 6c 2c'
_cell_length_a 5.1190
_cell_length_b 5.1190
_cell_length_c 16.2457
_cell_angle_alpha 90.00
_cell_angle_beta 90.00
_cell_angle_gamma 120.00
loop_
_atom_site_label
_atom_site_type_symbol
_atom_site_fract_x
_atom_site_fract_y
_atom_site_fract_z
Sm1 Sm 0.3333 0.6667 0.0413
Sm2 Sm 0.3333 0.6667 0.2500
Al1 Al 0.3333 0.6667 0.7500
Ni1 Ni 0.0000 0.0000 0.0000
Ni2 Ni 0.0000 0.0000 0.2500
Ni3 Ni 0.1657 0.3314 0.6274
```



[8]
Diffraction record for SmAlNi. The X-ray diffraction stick pattern is simulated, not measured: it uses a DFT-relaxed cell (GGA-PBE, the Materials Project) and Cu Kα.

Largest 8 diffraction maxima, in order of rising 2θ, 10 to 90 degrees two-theta:
| index | 2θ (°) | I (rel.) |
| --- | --- | --- |
| 2 0 0 | 20.32 | 29.9 |
| 0 2 0 | 32.53 | 26.8 |
| 0 1 3 | 33.45 | 64.1 |
| 3 1 1 | 36.23 | 46.7 |
| 3 0 2 | 36.51 | 33.5 |
| 2 2 0 | 38.66 | 49.2 |
| 2 1 3 | 39.47 | 100.0 |
| 5 2 2 | 66.56 | 18.0 |

```
data_SmAlNi
_space_group_name_H-M_alt 'A m m 2'
_space_group_IT_number 38
_space_group_name_Hall 'A 2 -2'
_cell_length_a 8.7393
_cell_length_b 5.5045
_cell_length_c 9.2002
_cell_angle_alpha 90.00
_cell_angle_beta 90.00
_cell_angle_gamma 90.00
loop_
_atom_site_label
_atom_site_type_symbol
_atom_site_fract_x
_atom_site_fract_y
_atom_site_fract_z
Sm1 Sm 0.1837 0.0000 0.0000
Sm2 Sm 0.2880 0.0000 0.3270
Al1 Al 0.0000 0.0000 0.5369
Al2 Al 0.5000 0.0000 0.8295
Al3 Al 0.5000 0.2456 0.5830
Ni1 Ni 0.0000 0.2406 0.7642
Ni2 Ni 0.2627 0.0000 0.6628
```



[9]
Diffraction record for Al4Ni15Sn. The X-ray diffraction stick pattern is simulated, not measured: it uses a DFT-relaxed cell (GGA-PBE, the Materials Project) and Cu Kα.

Largest 8 diffraction maxima, in order of rising 2θ, 10 to 90 degrees two-theta:
| index | 2θ (°) | I (rel.) |
| --- | --- | --- |
| 1 0 1 | 25.12 | 2.7 |
| 1 0 2 | 26.58 | 2.3 |
| 1 0 3 | 28.87 | 1.8 |
| 1 1 5 | 43.49 | 100.0 |
| 2 0 0 | 50.46 | 32.0 |
| 0 0 10 | 51.05 | 14.7 |
| 2 2 0 | 74.14 | 9.5 |
| 2 0 10 | 74.62 | 17.7 |

```
data_Al4Ni15Sn
_space_group_name_H-M_alt 'P 4/m m m'
_space_group_IT_number 123
_space_group_name_Hall '-P 4 2'
_cell_length_a 3.6172
_cell_length_b 3.6172
_cell_length_c 17.8914
_cell_angle_alpha 90.00
_cell_angle_beta 90.00
_cell_angle_gamma 90.00
loop_
_atom_site_label
_atom_site_type_symbol
_atom_site_fract_x
_atom_site_fract_y
_atom_site_fract_z
Al1 Al 0.0000 0.0000 0.1000
Al2 Al 0.0000 0.0000 0.2963
Ni1 Ni 0.0000 0.5000 0.0000
Ni2 Ni 0.0000 0.5000 0.1988
Ni3 Ni 0.0000 0.5000 0.3931
Ni4 Ni 0.5000 0.5000 0.0998
Ni5 Ni 0.5000 0.5000 0.2970
Ni6 Ni 0.5000 0.5000 0.5000
Sn1 Sn 0.0000 0.0000 0.5000
```



[10]
Diffraction record for TaAl2Ni9. The X-ray diffraction stick pattern is simulated, not measured: it uses a DFT-relaxed cell (GGA-PBE, the Materials Project) and Cu Kα.

Largest 8 diffraction maxima, in order of rising 2θ, 10 to 90 degrees two-theta:
| index | 2θ (°) | I (rel.) |
| --- | --- | --- |
| 0 0 2 | 16.65 | 8.7 |
| 1 0 1 | 26.09 | 13.5 |
| 1 0 2 | 29.93 | 9.8 |
| 1 1 3 | 43.71 | 100.0 |
| 2 0 0 | 50.63 | 32.0 |
| 0 0 6 | 51.48 | 16.8 |
| 2 2 0 | 74.41 | 9.5 |
| 2 0 6 | 75.10 | 18.8 |

```
data_TaAl2Ni9
_space_group_name_H-M_alt 'P 4/m m m'
_space_group_IT_number 123
_space_group_name_Hall '-P 4 2'
_cell_length_a 3.6061
_cell_length_b 3.6061
_cell_length_c 10.6495
_cell_angle_alpha 90.00
_cell_angle_beta 90.00
_cell_angle_gamma 90.00
loop_
_atom_site_label
_atom_site_type_symbol
_atom_site_fract_x
_atom_site_fract_y
_atom_site_fract_z
Ta1 Ta 0.0000 0.0000 0.0000
Al1 Al 0.0000 0.0000 0.3403
Ni1 Ni 0.0000 0.5000 0.1719
Ni2 Ni 0.0000 0.5000 0.5000
Ni3 Ni 0.5000 0.5000 0.0000
Ni4 Ni 0.5000 0.5000 0.3356
```



[11]
Diffraction record for TaAlNi6. The X-ray diffraction stick pattern is simulated, not measured: it uses a DFT-relaxed cell (GGA-PBE, the Materials Project) and Cu Kα.

Largest 8 diffraction maxima, in order of rising 2θ, 10 to 90 degrees two-theta:
| index | 2θ (°) | I (rel.) |
| --- | --- | --- |
| 1 0 0 | 20.02 | 28.1 |
| 1 0 2 | 29.49 | 15.7 |
| 2 0 0 | 40.69 | 21.9 |
| 2 0 1 | 42.19 | 20.6 |
| 0 0 4 | 43.64 | 30.3 |
| 2 0 2 | 46.44 | 100.0 |
| 2 2 0 | 74.06 | 17.4 |
| 2 0 6 | 82.16 | 17.7 |

```
data_TaAlNi6
_space_group_name_H-M_alt 'P 63/m m c'
_space_group_IT_number 194
_space_group_name_Hall '-P 6c 2c'
_cell_length_a 5.1203
_cell_length_b 5.1203
_cell_length_c 8.2958
_cell_angle_alpha 90.00
_cell_angle_beta 90.00
_cell_angle_gamma 120.00
loop_
_atom_site_label
_atom_site_type_symbol
_atom_site_fract_x
_atom_site_fract_y
_atom_site_fract_z
Ta1 Ta 0.0000 0.0000 0.0000
Al1 Al 0.3333 0.6667 0.2500
Ni1 Ni 0.0000 0.5000 0.0000
Ni2 Ni 0.1733 0.3466 0.7500
```



[12]
Diffraction record for TbAlNi. The X-ray diffraction stick pattern is simulated, not measured: it uses a DFT-relaxed cell (GGA-PBE, the Materials Project) and Cu Kα.

Largest 8 diffraction maxima, in order of rising 2θ, 10 to 90 degrees two-theta:
| index | 2θ (°) | I (rel.) |
| --- | --- | --- |
| 2 1 1 | 28.56 | 33.9 |
| 0 2 0 | 33.33 | 38.6 |
| 0 1 3 | 33.67 | 57.8 |
| 3 1 1 | 37.33 | 100.0 |
| 3 0 2 | 37.43 | 38.2 |
| 2 2 0 | 39.74 | 37.8 |
| 2 1 3 | 40.03 | 95.5 |
| 1 2 2 | 40.31 | 51.6 |

```
data_TbAlNi
_space_group_name_H-M_alt 'A m m 2'
_space_group_IT_number 38
_space_group_name_Hall 'A 2 -2'
_cell_length_a 8.4560
_cell_length_b 5.3762
_cell_length_c 9.1898
_cell_angle_alpha 90.00
_cell_angle_beta 90.00
_cell_angle_gamma 90.00
loop_
_atom_site_label
_atom_site_type_symbol
_atom_site_fract_x
_atom_site_fract_y
_atom_site_fract_z
Tb1 Tb 0.1753 0.0000 0.0000
Tb2 Tb 0.2944 0.0000 0.6627
Al1 Al 0.2390 0.0000 0.3261
Al2 Al 0.5000 0.2461 0.9164
Ni1 Ni 0.0000 0.0000 0.4958
Ni2 Ni 0.0000 0.2487 0.7462
Ni3 Ni 0.5000 0.0000 0.1615
```



Please write out number 12 again, unchanged.
Diffraction record for TbAlNi. The X-ray diffraction stick pattern is simulated, not measured: it uses a DFT-relaxed cell (GGA-PBE, the Materials Project) and Cu Kα.

Largest 8 diffraction maxima, in order of rising 2θ, 10 to 90 degrees two-theta:
| index | 2θ (°) | I (rel.) |
| --- | --- | --- |
| 2 1 1 | 28.56 | 33.9 |
| 0 2 0 | 33.33 | 38.6 |
| 0 1 3 | 33.67 | 57.8 |
| 3 1 1 | 37.33 | 100.0 |
| 3 0 2 | 37.43 | 38.2 |
| 2 2 0 | 39.74 | 37.8 |
| 2 1 3 | 40.03 | 95.5 |
| 1 2 2 | 40.31 | 51.6 |

```
data_TbAlNi
_space_group_name_H-M_alt 'A m m 2'
_space_group_IT_number 38
_space_group_name_Hall 'A 2 -2'
_cell_length_a 8.4560
_cell_length_b 5.3762
_cell_length_c 9.1898
_cell_angle_alpha 90.00
_cell_angle_beta 90.00
_cell_angle_gamma 90.00
loop_
_atom_site_label
_atom_site_type_symbol
_atom_site_fract_x
_atom_site_fract_y
_atom_site_fract_z
Tb1 Tb 0.1753 0.0000 0.0000
Tb2 Tb 0.2944 0.0000 0.6627
Al1 Al 0.2390 0.0000 0.3261
Al2 Al 0.5000 0.2461 0.9164
Ni1 Ni 0.0000 0.0000 0.4958
Ni2 Ni 0.0000 0.2487 0.7462
Ni3 Ni 0.5000 0.0000 0.1615
```